This entry pairs a crystal structure of AsPIr with its theoretical X-ray powder pattern. Radiation: CuKα. Structure: a GGA-PBE-relaxed structure.
No peak broadening, texture or thermal motion is included.

Largest 10 diffraction maxima, by angle, 2θ from 10° to 80°:
2θ (°)	I_rel	index
23.23	1000	1 1 -1
29.84	481	0 2 0
31.80	310	0 0 2
32.18	399	2 0 0
44.46	211	2 2 0
47.54	449	1 1 -3
48.11	305	3 1 -1
49.18	243	1 3 -1
53.29	232	1 3 1
57.62	192	3 1 -3

```
AsPIr
1.0
5.9851 0.0000 0.0000
0.0000 5.9880 0.0000
-2.2329 0.0000 5.6277
As P Ir
4 4 4
Cartesian
0.1226 0.7282 2.0647
-0.9938 2.2659 4.8786
4.7460 3.7222 0.7492
3.6296 5.2599 3.5630
0.5211 3.7680 3.8379
1.6376 5.2140 1.0241
2.1146 0.7740 4.6036
3.2311 2.2200 1.7898
1.0324 3.0487 1.6585
-0.0841 5.9333 4.4724
3.8363 0.0547 1.1553
2.7198 2.9393 3.9692
```